(1)
Starting from a crystal structure in the Materials Project, relaxed with PBE, the powder diffraction line list of Zr3Fe2Si3 was computed for Cu Kα X-rays.

```
16
Lattice="1.931 -5.046 0.000 1.931 5.046 0.000 0.000 0.000 12.977" Properties=species:S:1:pos:R:3 pbc="T T T"
Zr 1.931 4.273 7.964
Zr 1.931 4.273 11.501
Zr 1.931 1.374 9.733
Zr 1.931 -1.374 3.244
Zr 1.931 -4.273 1.476
Zr 1.931 -4.273 5.013
Fe 1.931 2.828 1.048
Fe 1.931 2.828 5.440
Fe 1.931 -2.828 7.537
Fe 1.931 -2.828 11.929
Si 1.931 1.682 3.244
Si 1.931 1.150 7.025
Si 1.931 1.150 12.441
Si 1.931 -1.150 0.537
Si 1.931 -1.150 5.952
Si 1.931 -1.682 9.733
```

Main lines, sorted by position (2θ = 15–90°):
d/Å  two_theta  I_rel
2.490  36.08  84
2.412  37.28  100
2.308  39.02  28
2.188  41.26  60
2.163  41.76  25
1.931  47.06  41

---

(2)
Starting from a crystal structure in the Materials Project, relaxed with PBE, the powder diffraction line list of Y7Te2 was computed for Cu Kα X-rays.

```
36
Lattice="23.215 0.000 0.000 0.000 3.967 0.000 0.000 0.000 12.167" Properties=species:S:1:pos:R:3 pbc="T T T"
Y 0.568 0.992 1.431
Y 1.121 2.975 4.545
Y 1.699 2.975 7.911
Y 2.356 0.992 10.492
Y 3.582 2.975 0.969
Y 3.953 0.992 6.327
Y 5.190 2.975 9.074
Y 6.418 0.992 2.991
Y 7.654 2.975 0.244
Y 8.025 0.992 7.052
Y 9.252 2.975 4.408
Y 9.909 0.992 1.827
Y 10.487 0.992 10.628
Y 11.040 2.975 7.515
Y 12.176 0.992 4.652
Y 12.728 2.975 1.539
Y 13.307 2.975 10.340
Y 13.964 0.992 7.759
Y 15.190 2.975 5.115
Y 15.561 0.992 11.923
Y 16.797 2.975 9.177
Y 18.026 0.992 3.093
Y 19.262 2.975 5.840
Y 19.633 0.992 11.199
Y 20.859 2.975 1.676
Y 21.516 0.992 4.256
Y 22.095 0.992 7.623
Y 22.647 2.975 10.736
Te 3.242 0.992 3.300
Te 5.399 0.992 11.565
Te 6.208 2.975 5.482
Te 8.366 2.975 9.384
Te 14.849 0.992 2.783
Te 17.007 0.992 6.686
Te 17.816 2.975 0.602
Te 19.974 2.975 8.867
```

Main lines, sorted by position (2θ = 15–90°):
d/Å  two_theta  I_rel
3.053  29.25  43
2.942  30.38  47
2.927  30.54  100
2.835  31.56  56
2.822  31.71  54
2.522  35.60  49